[1]
The following is a theoretical X-ray powder pattern of Na2LiRuF6. It was derived from a DFT-relaxed cell (PBE, the Materials Project), using Cu Kα (λ = 1.5418 Å).
Neutral-atom scattering factors, no anomalous dispersion.

Structural model:
```
Na2LiRuF6
1.0
0.0000 3.9863 3.9863
3.9863 0.0000 3.9863
3.9863 3.9863 0.0000
Na Li Ru F
2 1 1 6
direct
0.2500 0.2500 0.2500
0.7500 0.7500 0.7500
0.0000 0.0000 0.0000
0.5000 0.5000 0.5000
0.2482 0.2482 0.7518
0.2482 0.7518 0.2482
0.2482 0.7518 0.7518
0.7518 0.2482 0.2482
0.7518 0.2482 0.7518
0.7518 0.7518 0.2482
```

Principal peaks in the range 10 to 90 degrees two-theta, most intense first:
- 2θ 19.28, I = 100
- 2θ 31.75, I = 63
- 2θ 45.51, I = 59
- 2θ 22.30, I = 58
- 2θ 37.41, I = 57
- 2θ 66.32, I = 33


[2]
The following is a theoretical X-ray powder pattern of CsMg3. It was derived from a DFT-relaxed cell (PBE, the Materials Project), using Cu Kα (λ = 1.5418 Å).
Neutral-atom scattering factors, no anomalous dispersion.

Structural model:
```
CsMg3
1.0
3.7526 0.0000 0.0000
0.0000 4.9008 0.0000
0.0000 0.0000 8.4345
Cs Mg
1 3
direct
0.0000 0.0000 0.0000
0.0000 0.5000 0.6114
0.5000 0.0000 0.5266
0.5000 0.5000 0.3116
```

Principal peaks in the range 10 to 90 degrees two-theta, most intense first:
- 2θ 31.86, I = 100
- 2θ 20.96, I = 59
- 2θ 27.91, I = 46
- 2θ 25.99, I = 44
- 2θ 10.49, I = 39
- 2θ 21.07, I = 32


[3]
The following is a theoretical X-ray powder pattern of Cs2NbAgF6. It was derived from a DFT-relaxed cell (PBE, the Materials Project), using Cu Kα (λ = 1.5418 Å).
Neutral-atom scattering factors, no anomalous dispersion.

Structural model:
```
Cs2NbAgF6
1.0
0.0000 4.6256 4.6256
4.6256 0.0000 4.6256
4.6256 4.6256 0.0000
Cs Nb Ag F
2 1 1 6
direct
0.2500 0.2500 0.2500
0.7500 0.7500 0.7500
0.0000 0.0000 0.0000
0.5000 0.5000 0.5000
0.2292 0.2292 0.7708
0.2292 0.7708 0.2292
0.2292 0.7708 0.7708
0.7708 0.2292 0.2292
0.7708 0.2292 0.7708
0.7708 0.7708 0.2292
```

Principal peaks in the range 10 to 90 degrees two-theta, most intense first:
- 2θ 27.27, I = 100
- 2θ 48.19, I = 41
- 2θ 38.94, I = 35
- 2θ 56.25, I = 22
- 2θ 77.16, I = 21
- 2θ 63.61, I = 19


[4]
The following is a theoretical X-ray powder pattern of Pu3Th. It was derived from a DFT-relaxed cell (PBE, the Materials Project), using Cu Kα (λ = 1.5418 Å).
Neutral-atom scattering factors, no anomalous dispersion.

Structural model:
```
Pu3Th
1.0
-2.3445 2.3445 4.7279
2.3445 -2.3445 4.7279
2.3445 2.3445 -4.7279
Pu Th
3 1
direct
0.0000 0.0000 0.0000
0.2500 0.7500 0.5000
0.7500 0.2500 0.5000
0.5000 0.5000 0.0000
```

Principal peaks in the range 10 to 90 degrees two-theta, most intense first:
- 2θ 33.00, I = 100
- 2θ 38.39, I = 34
- 2θ 66.03, I = 28
- 2θ 55.18, I = 24
- 2θ 38.07, I = 17
- 2θ 65.59, I = 15


[5]
The following is a theoretical X-ray powder pattern of K4Ta3NbO12. It was derived from a DFT-relaxed cell (PBE, the Materials Project), using Cu Kα (λ = 1.5418 Å).
Neutral-atom scattering factors, no anomalous dispersion.

Structural model:
```
K4Ta3NbO12
1.0
2.8521 1.6466 9.3149
-2.8521 1.6466 9.3149
0.0000 -3.2933 9.3149
K Ta Nb O
4 3 1 12
direct
0.1250 0.1250 0.1250
0.3750 0.3750 0.3750
0.6250 0.6250 0.6250
0.8750 0.8750 0.8750
0.0000 0.0000 0.0000
0.2502 0.2502 0.2502
0.7498 0.7498 0.7498
0.5000 0.5000 0.5000
0.1233 0.6256 0.6256
0.1249 0.1249 0.6252
0.1249 0.6252 0.1249
0.3744 0.3744 0.8767
0.3744 0.8767 0.3744
0.3748 0.8751 0.8751
0.6252 0.1249 0.1249
0.6256 0.1233 0.6256
0.6256 0.6256 0.1233
0.8751 0.3748 0.8751
0.8751 0.8751 0.3748
0.8767 0.3744 0.3744
```

Principal peaks in the range 10 to 90 degrees two-theta, most intense first:
- 2θ 31.36, I = 100
- 2θ 22.04, I = 65
- 2θ 55.83, I = 39
- 2θ 44.95, I = 33
- 2θ 50.60, I = 29
- 2θ 65.45, I = 20


[6]
The following is a theoretical X-ray powder pattern of ReAu3. It was derived from a DFT-relaxed cell (PBE, the Materials Project), using Cu Kα (λ = 1.5418 Å).
Neutral-atom scattering factors, no anomalous dispersion.

Structural model:
```
ReAu3
1.0
-2.1045 2.1045 3.8700
2.1045 -2.1045 3.8700
2.1045 2.1045 -3.8700
Re Au
1 3
direct
0.0000 0.0000 0.0000
0.2500 0.7500 0.5000
0.5000 0.5000 0.0000
0.7500 0.2500 0.5000
```

Principal peaks in the range 10 to 90 degrees two-theta, most intense first:
- 2θ 38.15, I = 100
- 2θ 42.98, I = 36
- 2θ 75.54, I = 28
- 2θ 65.53, I = 21
- 2θ 46.96, I = 14
- 2θ 62.41, I = 12


[7]
The following is a theoretical X-ray powder pattern of K3Si. It was derived from a DFT-relaxed cell (PBE, the Materials Project), using Cu Kα (λ = 1.5418 Å).
Neutral-atom scattering factors, no anomalous dispersion.

Structural model:
```
K3Si
1.0
0.0000 4.2717 4.2717
4.2717 0.0000 4.2717
4.2717 4.2717 0.0000
K Si
3 1
direct
0.0000 0.0000 0.0000
0.2500 0.2500 0.2500
0.7500 0.7500 0.7500
0.5000 0.5000 0.5000
```

Principal peaks in the range 10 to 90 degrees two-theta, most intense first:
- 2θ 29.57, I = 100
- 2θ 52.47, I = 34
- 2θ 42.32, I = 17
- 2θ 84.95, I = 15
- 2θ 69.60, I = 13
- 2θ 61.39, I = 10


[8]
The following is a theoretical X-ray powder pattern of ScGeRh. It was derived from a DFT-relaxed cell (PBE, the Materials Project), using Cu Kα (λ = 1.5418 Å).
Neutral-atom scattering factors, no anomalous dispersion.

Structural model:
```
ScGeRh
1.0
6.7355 0.0000 0.0000
-3.3677 5.8331 0.0000
0.0000 0.0000 3.8334
Sc Ge Rh
3 3 3
direct
0.0000 0.4177 0.0000
0.4177 0.0000 0.0000
0.5823 0.5823 0.0000
0.0000 0.0000 0.0000
0.3333 0.6667 0.5000
0.6667 0.3333 0.5000
0.0000 0.7544 0.5000
0.2456 0.2456 0.5000
0.7544 0.0000 0.5000
```

Principal peaks in the range 10 to 90 degrees two-theta, most intense first:
- 2θ 38.80, I = 100
- 2θ 35.48, I = 90
- 2θ 47.58, I = 79
- 2θ 40.93, I = 67
- 2θ 23.20, I = 35
- 2θ 47.43, I = 35


[9]
The following is a theoretical X-ray powder pattern of NiH6N2Cl2. It was derived from a DFT-relaxed cell (PBE, the Materials Project), using Cu Kα (λ = 1.5418 Å).
Neutral-atom scattering factors, no anomalous dispersion.

Structural model:
```
NiH6N2Cl2
1.0
4.0903 -4.2702 0.0000
4.0903 4.2702 0.0000
-0.1808 0.0000 3.7677
Ni H N Cl
1 6 2 2
direct
0.0000 0.0000 0.0000
0.1950 0.3787 0.2132
0.2576 0.3398 0.7992
0.3988 0.2072 0.1079
0.6213 0.8050 0.7868
0.6602 0.7424 0.2008
0.7928 0.6012 0.8921
0.2413 0.2576 0.0317
0.7424 0.7587 0.9683
0.1942 0.8058 0.5000
0.8074 0.1926 0.5000
```

Principal peaks in the range 10 to 90 degrees two-theta, most intense first:
- 2θ 15.01, I = 100
- 2θ 31.67, I = 45
- 2θ 21.75, I = 27
- 2θ 40.93, I = 16
- 2θ 34.56, I = 14
- 2θ 41.57, I = 14


[10]
The following is a theoretical X-ray powder pattern of CaAsPt. It was derived from a DFT-relaxed cell (PBE, the Materials Project), using Cu Kα (λ = 1.5418 Å).
Neutral-atom scattering factors, no anomalous dispersion.

Structural model:
```
CaAsPt
1.0
-2.1142 2.1142 22.1782
2.1142 -2.1142 22.1782
2.1142 2.1142 -22.1782
Ca As Pt
6 6 6
direct
0.0000 0.0000 0.0000
0.0828 0.5828 0.5000
0.1663 0.1663 0.0000
0.3328 0.3328 0.0000
0.7500 0.2500 0.5000
0.9163 0.4163 0.5000
0.2222 0.7222 0.5000
0.3887 0.8887 0.5000
0.4722 0.4722 0.0000
0.5558 0.0558 0.5000
0.6387 0.6387 0.0000
0.8058 0.8058 0.0000
0.2776 0.7776 0.5000
0.4438 0.9438 0.5000
0.5276 0.5276 0.0000
0.6113 0.1113 0.5000
0.6938 0.6938 0.0000
0.8613 0.8613 0.0000
```

Principal peaks in the range 10 to 90 degrees two-theta, most intense first:
- 2θ 32.30, I = 100
- 2θ 21.11, I = 76
- 2θ 42.77, I = 54
- 2θ 47.83, I = 43
- 2θ 23.30, I = 30
- 2θ 40.63, I = 28